(1)
# ScU3As4
Simulated powder diffractogram, copper Kα. Input: a GGA-PBE-relaxed structure.
Peak positions follow from Bragg's law for the DFT cell and can differ from measured ones.

Structure:
```
data_ScU3As4
_chemical_formula_sum 'Sc2 U6 As8'
_cell_length_a 7.0302
_cell_length_b 8.0819
_cell_length_c 6.9736
_cell_angle_alpha 90.00
_cell_angle_beta 109.58
_cell_angle_gamma 90.00
_space_group_name_H-M_alt 'P 1 2/c 1'
_space_group_IT_number 13
loop_
_space_group_symop_operation_xyz
'x,y,z'
'-x,-y,-z'
'-x,y,-z+1/2'
'x,-y,z+1/2'
loop_
_atom_site_label
_atom_site_type_symbol
_atom_site_fract_x
_atom_site_fract_y
_atom_site_fract_z
Sc1 Sc 0.0000 0.1227 0.2500
U1 U 0.0000 0.3730 0.7500
U2 U 0.5000 0.1240 0.7500
U3 U 0.5000 0.3744 0.2500
As1 As 0.2407 0.1200 0.9994
As2 As 0.2434 0.3693 0.4942
```

Peak list (10 most intense, 10° ≤ 2θ ≤ 80°, low angle first)
| (hkl) | 2θ/deg | I (rel.) |
| --- | --- | --- |
| 2 0 0 | 26.98 | 23 |
| 1 2 1 | 31.30 | 100 |
| 3 2 -1 | 44.70 | 25 |
| 2 0 2 | 44.88 | 25 |
| 1 2 -3 | 44.99 | 25 |
| 2 4 -2 | 55.70 | 13 |
| 2 4 2 | 65.35 | 8 |
| 5 2 -3 | 73.98 | 12 |
| 3 2 3 | 74.26 | 11 |
| 3 2 -5 | 74.40 | 12 |

---

(2)
# YSc5As4
Simulated powder diffractogram, copper Kα. Input: a GGA-PBE-relaxed structure.
Peak positions follow from Bragg's law for the DFT cell and can differ from measured ones.

Structure:
```
data_YSc5As4
_chemical_formula_sum 'Y2 Sc10 As8'
_cell_length_a 8.5046
_cell_length_b 9.3268
_cell_length_c 6.3935
_cell_angle_alpha 90.00
_cell_angle_beta 90.00
_cell_angle_gamma 90.00
_space_group_name_H-M_alt 'P m m n'
_space_group_IT_number 59
loop_
_space_group_symop_operation_xyz
'x,y,z'
'-x,-y,-z'
'-x+1/2,-y+1/2,z'
'x+1/2,y+1/2,-z'
'x+1/2,-y,-z'
'-x+1/2,y,z'
'-x,y+1/2,-z'
'x,-y+1/2,z'
loop_
_atom_site_label
_atom_site_type_symbol
_atom_site_fract_x
_atom_site_fract_y
_atom_site_fract_z
Y1 Y 0.2500 0.2500 0.1775
Sc1 Sc 0.0048 0.0397 0.7451
Sc2 Sc 0.2500 0.7500 0.7783
As1 As 0.0020 0.2500 0.4641
As2 As 0.2500 0.5175 0.0020
```

Peak list (10 most intense, 10° ≤ 2θ ≤ 80°, low angle first)
| (hkl) | 2θ/deg | I (rel.) |
| --- | --- | --- |
| 0 1 1 | 16.81 | 22 |
| 0 2 1 | 23.61 | 44 |
| 2 0 1 | 25.15 | 78 |
| 2 1 1 | 26.93 | 19 |
| 0 3 1 | 32.01 | 26 |
| 0 4 0 | 38.61 | 27 |
| 2 2 2 | 40.24 | 100 |
| 4 0 0 | 42.52 | 28 |
| 2 4 1 | 46.64 | 26 |
| 0 2 3 | 46.87 | 17 |

---

(3)
# Zr3ScAs4
Simulated powder diffractogram, copper Kα. Input: a GGA-PBE-relaxed structure.
Peak positions follow from Bragg's law for the DFT cell and can differ from measured ones.

Structure:
```
data_Zr3ScAs4
_chemical_formula_sum 'Zr6 Sc2 As8'
_cell_length_a 6.7198
_cell_length_b 7.7304
_cell_length_c 6.7010
_cell_angle_alpha 90.00
_cell_angle_beta 109.39
_cell_angle_gamma 90.00
_space_group_name_H-M_alt 'P 1 2/c 1'
_space_group_IT_number 13
loop_
_space_group_symop_operation_xyz
'x,y,z'
'-x,-y,-z'
'-x,y,-z+1/2'
'x,-y,z+1/2'
loop_
_atom_site_label
_atom_site_type_symbol
_atom_site_fract_x
_atom_site_fract_y
_atom_site_fract_z
Zr1 Zr 0.0000 0.1227 0.2500
Zr2 Zr 0.0000 0.3731 0.7500
Zr3 Zr 0.5000 0.1230 0.7500
Sc1 Sc 0.5000 0.3760 0.2500
As1 As 0.2514 0.1276 0.0026
As2 As 0.2528 0.3762 0.4988
```

Peak list (10 most intense, 10° ≤ 2θ ≤ 80°, low angle first)
| (hkl) | 2θ/deg | I (rel.) |
| --- | --- | --- |
| 1 0 0 | 13.97 | 1 |
| 0 1 1 | 18.11 | 1 |
| 1 2 1 | 32.71 | 100 |
| 2 0 2 | 46.87 | 36 |
| 0 4 0 | 47.00 | 35 |
| 4 0 0 | 58.22 | 6 |
| 0 0 4 | 58.43 | 18 |
| 2 4 2 | 68.55 | 11 |
| 4 4 0 | 77.95 | 15 |
| 0 4 4 | 78.14 | 15 |

---

(4)
# Zr4ScAs5
Simulated powder diffractogram, copper Kα. Input: a GGA-PBE-relaxed structure.
Peak positions follow from Bragg's law for the DFT cell and can differ from measured ones.

Structure:
```
data_Zr4ScAs5
_chemical_formula_sum 'Zr8 Sc2 As10'
_cell_length_a 3.8686
_cell_length_b 5.4742
_cell_length_c 19.3885
_cell_angle_alpha 90.00
_cell_angle_beta 90.00
_cell_angle_gamma 90.00
_space_group_name_H-M_alt 'I m m m'
_space_group_IT_number 71
_space_group_name_Hall '-I 2 2'
loop_
_atom_site_label
_atom_site_type_symbol
_atom_site_fract_x
_atom_site_fract_y
_atom_site_fract_z
Zr1 Zr 0.0000 0.0000 0.1012
Zr2 Zr 0.0000 0.0000 0.2995
Sc1 Sc 0.0000 0.0000 0.5000
As1 As 0.0000 0.5000 0.0988
As2 As 0.0000 0.5000 0.2997
As3 As 0.0000 0.5000 0.5000
```

Peak list (10 most intense, 10° ≤ 2θ ≤ 80°, low angle first)
| (hkl) | 2θ/deg | I (rel.) |
| --- | --- | --- |
| 0 1 1 | 16.83 | 1 |
| 1 0 1 | 23.45 | 1 |
| 1 1 2 | 29.74 | 1 |
| 1 0 5 | 32.70 | 100 |
| 1 2 5 | 46.92 | 59 |
| 2 0 0 | 46.98 | 12 |
| 2 2 0 | 58.37 | 24 |
| 0 4 0 | 68.54 | 11 |
| 2 2 10 | 77.99 | 15 |
| 3 0 5 | 78.07 | 15 |

---

(5)
# AsSe3
Simulated powder diffractogram, copper Kα. Input: a GGA-PBE-relaxed structure.
Peak positions follow from Bragg's law for the DFT cell and can differ from measured ones.

Structure:
```
data_AsSe3
_chemical_formula_sum 'As4 Se12'
_cell_length_a 7.5764
_cell_length_b 7.5764
_cell_length_c 7.2029
_cell_angle_alpha 90.00
_cell_angle_beta 90.00
_cell_angle_gamma 120.00
_space_group_name_H-M_alt 'P 63/m m c'
_space_group_IT_number 194
_space_group_name_Hall '-P 6c 2c'
loop_
_atom_site_label
_atom_site_type_symbol
_atom_site_fract_x
_atom_site_fract_y
_atom_site_fract_z
As1 As 0.0000 0.0000 0.0000
As2 As 0.3333 0.6667 0.2500
Se1 Se 0.0000 0.5000 0.0000
Se2 Se 0.1613 0.3225 0.7500
```

Peak list (10 most intense, 10° ≤ 2θ ≤ 80°, low angle first)
| (hkl) | 2θ/deg | I (rel.) |
| --- | --- | --- |
| 2 0 0 | 27.18 | 13 |
| 2 0 1 | 29.93 | 60 |
| 2 0 2 | 37.07 | 100 |
| 2 0 3 | 46.89 | 17 |
| 2 2 0 | 48.03 | 42 |
| 0 0 4 | 50.70 | 12 |
| 4 0 1 | 57.63 | 9 |
| 4 0 2 | 62.19 | 21 |
| 2 2 4 | 72.42 | 24 |
| 4 2 1 | 78.23 | 7 |

---

(6)
# As4Se3
Simulated powder diffractogram, copper Kα. Input: a GGA-PBE-relaxed structure.
Peak positions follow from Bragg's law for the DFT cell and can differ from measured ones.

Structure:
```
data_As4Se3
_chemical_formula_sum 'As16 Se12'
_cell_length_a 10.0253
_cell_length_b 8.6229
_cell_length_c 11.1562
_cell_angle_alpha 90.00
_cell_angle_beta 90.00
_cell_angle_gamma 90.00
_space_group_name_H-M_alt 'P n m a'
_space_group_IT_number 62
loop_
_space_group_symop_operation_xyz
'x,y,z'
'-x,-y,-z'
'-x+1/2,-y,z+1/2'
'x+1/2,y,-z+1/2'
'x+1/2,-y+1/2,-z+1/2'
'-x+1/2,y+1/2,z+1/2'
'-x,y+1/2,-z'
'x,-y+1/2,z'
loop_
_atom_site_label
_atom_site_type_symbol
_atom_site_fract_x
_atom_site_fract_y
_atom_site_fract_z
As1 As 0.0095 0.2500 0.0948
As2 As 0.1556 0.6039 0.7787
As3 As 0.1751 0.2500 0.5574
Se1 Se 0.0888 0.7500 0.0989
Se2 Se 0.1706 0.0394 0.4154
```

Peak list (10 most intense, 10° ≤ 2θ ≤ 80°, low angle first)
| (hkl) | 2θ/deg | I (rel.) |
| --- | --- | --- |
| 0 1 1 | 12.98 | 27 |
| 1 1 1 | 15.71 | 100 |
| 1 2 1 | 23.84 | 38 |
| 2 1 2 | 26.06 | 39 |
| 1 2 2 | 27.62 | 59 |
| 3 0 1 | 27.87 | 37 |
| 2 0 3 | 29.92 | 42 |
| 0 3 1 | 32.16 | 24 |
| 1 2 4 | 39.55 | 26 |
| 3 0 5 | 49.06 | 27 |

---

(7)
# As2Se
Simulated powder diffractogram, copper Kα. Input: a GGA-PBE-relaxed structure.
Peak positions follow from Bragg's law for the DFT cell and can differ from measured ones.

Structure:
```
data_As2Se
_chemical_formula_sum 'As8 Se4'
_cell_length_a 3.9011
_cell_length_b 11.9895
_cell_length_c 5.4862
_cell_angle_alpha 90.00
_cell_angle_beta 90.00
_cell_angle_gamma 90.00
_space_group_name_H-M_alt 'C m c m'
_space_group_IT_number 63
_space_group_name_Hall '-C 2c 2'
loop_
_atom_site_label
_atom_site_type_symbol
_atom_site_fract_x
_atom_site_fract_y
_atom_site_fract_z
As1 As 0.0000 0.0135 0.2500
As2 As 0.0000 0.3392 0.7500
Se1 Se 0.0000 0.3387 0.2500
```

Peak list (10 most intense, 10° ≤ 2θ ≤ 80°, low angle first)
| (hkl) | 2θ/deg | I (rel.) |
| --- | --- | --- |
| 1 3 0 | 32.06 | 100 |
| 0 0 2 | 32.64 | 49 |
| 0 6 0 | 45.39 | 17 |
| 1 3 2 | 46.41 | 70 |
| 2 0 0 | 46.56 | 18 |
| 0 6 2 | 57.02 | 17 |
| 2 0 2 | 58.02 | 18 |
| 2 6 0 | 67.05 | 11 |
| 2 6 2 | 76.59 | 14 |
| 1 3 4 | 77.55 | 15 |

---

(8)
# SiTeAs2Se
Simulated powder diffractogram, copper Kα. Input: a GGA-PBE-relaxed structure.
Peak positions follow from Bragg's law for the DFT cell and can differ from measured ones.

Structure:
```
data_SiTeAs2Se
_chemical_formula_sum 'Si1 Te1 As2 Se1'
_cell_length_a 4.8923
_cell_length_b 4.8923
_cell_length_c 4.7468
_cell_angle_alpha 90.00
_cell_angle_beta 90.00
_cell_angle_gamma 90.00
_space_group_name_H-M_alt 'P 4/m m m'
_space_group_IT_number 123
_space_group_name_Hall '-P 4 2'
loop_
_atom_site_label
_atom_site_type_symbol
_atom_site_fract_x
_atom_site_fract_y
_atom_site_fract_z
Si1 Si 0.0000 0.0000 0.0000
Te1 Te 0.5000 0.5000 0.5000
As1 As 0.0000 0.5000 0.0000
Se1 Se 0.0000 0.0000 0.5000
```

Peak list (10 most intense, 10° ≤ 2θ ≤ 80°, low angle first)
| (hkl) | 2θ/deg | I (rel.) |
| --- | --- | --- |
| 1 0 1 | 26.16 | 8 |
| 1 1 1 | 32.01 | 100 |
| 2 0 0 | 36.74 | 47 |
| 0 0 2 | 37.91 | 22 |
| 2 2 0 | 52.94 | 16 |
| 2 0 2 | 53.82 | 31 |
| 3 1 1 | 63.22 | 28 |
| 1 1 3 | 64.79 | 13 |
| 2 2 2 | 66.94 | 16 |
| 4 0 0 | 78.15 | 5 |